Starting from a cell relaxed with GGA-PBE, the PXRD pattern of Hg2H3Pt2 was simulated for Cu Kα X-rays.
No peak broadening, texture or thermal motion is included.

Structure:
a = 10.6088 Å, b = 2.7993 Å, c = 7.0244 Å
α = 90.00°, β = 110.16°, γ = 90.00°
Atoms (fractional coordinates):
Hg1 0.1916 0.0000 0.2421
Hg2 0.3084 0.5000 0.7579
Hg3 0.6916 0.5000 0.2421
Hg4 0.8084 0.0000 0.7579
H1 0.0000 0.5000 0.5000
H2 0.0796 0.5000 0.8773
H3 0.4204 0.0000 0.1227
H4 0.5000 0.0000 0.5000
H5 0.5796 0.0000 0.8773
H6 0.9204 0.5000 0.1227
Pt1 0.0606 0.0000 0.7189
Pt2 0.4394 0.5000 0.2811
Pt3 0.5606 0.5000 0.7189
Pt4 0.9394 0.0000 0.2811

Peak list (10 most intense, 15 to 90 degrees two-theta, by angle)
index, 2θ/deg, Rel. int.
0 0 2, 27.04, 100
1 1 0, 33.25, 51
4 0 -1, 33.82, 61
1 1 -2, 41.24, 17
3 1 -1, 41.36, 38
4 0 1, 43.03, 31
4 0 -3, 44.61, 24
1 1 2, 45.41, 29
3 1 1, 47.49, 18
3 1 -3, 52.65, 22